Record 1
The following is a simulated powder X-ray diffraction pattern of Ag3AsSe3. It was derived from a DFT-relaxed cell (PBE, the Materials Project), using Cu Kα.
Lines closer than 0.1° are merged.

Peak list (10 most intense, 2θ from 10° to 80°, low angle first)
- 25.60°, intensity 46
- 26.95°, intensity 64
- 30.61°, intensity 100
- 32.83°, intensity 92
- 33.96°, intensity 51
- 37.98°, intensity 41
- 44.28°, intensity 56
- 45.90°, intensity 25
- 47.60°, intensity 24
- 51.43°, intensity 36

Structural model:
Cell lengths 7.309, 7.309, 7.309 Å; angles 103.29, 103.29, 103.29 degrees
Atoms (fractional coordinates):
Ag  0.071  0.292  0.638
Ag  0.138  0.792  0.571
Ag  0.292  0.638  0.071
Ag  0.571  0.138  0.792
Ag  0.638  0.071  0.292
Ag  0.792  0.571  0.138
As  0.048  0.048  0.048
As  0.548  0.548  0.548
Se  0.275  0.959  0.294
Se  0.294  0.275  0.959
Se  0.459  0.775  0.794
Se  0.775  0.794  0.459
Se  0.794  0.459  0.775
Se  0.959  0.294  0.275

***

Record 2
The following is a simulated powder X-ray diffraction pattern of MnIrN2. It was derived from a DFT-relaxed cell (PBE, the Materials Project), using Cu Kα.
Lines closer than 0.1° are merged.

Peak list (10 most intense, 2θ from 10° to 80°, low angle first)
- 21.71°, intensity 86
- 22.18°, intensity 25
- 32.71°, intensity 32
- 33.99°, intensity 57
- 36.99°, intensity 100
- 39.29°, intensity 46
- 41.78°, intensity 24
- 45.53°, intensity 20
- 58.02°, intensity 24
- 62.81°, intensity 20

Structural model:
Cell lengths 5.093, 6.494, 5.275 Å; angles 90.00, 90.00, 90.00 degrees
Atoms (fractional coordinates):
Mn  0.123  0.155  0.000
Mn  0.377  0.655  0.500
Mn  0.623  0.345  0.000
Mn  0.877  0.845  0.500
Ir  0.069  0.661  0.918
Ir  0.431  0.161  0.418
Ir  0.569  0.839  0.918
Ir  0.931  0.339  0.418
N  0.059  0.636  0.316
N  0.066  0.061  0.348
N  0.434  0.561  0.848
N  0.441  0.136  0.816
N  0.559  0.864  0.316
N  0.566  0.439  0.348
N  0.934  0.939  0.848
N  0.941  0.364  0.816

***

Record 3
The following is a simulated powder X-ray diffraction pattern of CeSe2. It was derived from a DFT-relaxed cell (PBE, the Materials Project), using Cu Kα.
Lines closer than 0.1° are merged.

Peak list (10 most intense, 2θ from 10° to 80°, low angle first)
- 14.76°, intensity 61
- 25.89°, intensity 26
- 29.61°, intensity 100
- 34.65°, intensity 22
- 36.55°, intensity 19
- 40.59°, intensity 19
- 42.02°, intensity 55
- 44.78°, intensity 22
- 49.51°, intensity 26
- 52.25°, intensity 20

Structural model:
Cell lengths 12.257, 12.257, 12.257 Å; angles 20.21, 20.21, 20.21 degrees
Atoms (fractional coordinates):
Ce  0.084  0.084  0.084
Ce  0.916  0.916  0.916
Se  0.210  0.210  0.210
Se  0.377  0.377  0.377
Se  0.623  0.623  0.623
Se  0.790  0.790  0.790

***

Record 4
The following is a simulated powder X-ray diffraction pattern of TmMgPt2. It was derived from a DFT-relaxed cell (PBE, the Materials Project), using Cu Kα.
Lines closer than 0.1° are merged.

Peak list (10 most intense, 2θ from 10° to 80°, low angle first)
- 23.07°, intensity 15
- 26.71°, intensity 13
- 38.13°, intensity 100
- 45.04°, intensity 8
- 47.16°, intensity 4
- 55.02°, intensity 17
- 60.44°, intensity 3
- 62.18°, intensity 5
- 68.90°, intensity 36
- 73.74°, intensity 2

Structural model:
Cell lengths 4.721, 4.721, 4.721 Å; angles 60.00, 60.00, 60.00 degrees
Atoms (fractional coordinates):
Tm  0.000  0.000  0.000
Mg  0.500  0.500  0.500
Pt  0.250  0.250  0.250
Pt  0.750  0.750  0.750

***

Record 5
The following is a simulated powder X-ray diffraction pattern of YNi3. It was derived from a DFT-relaxed cell (PBE, the Materials Project), using Cu Kα.
Lines closer than 0.1° are merged.

Peak list (10 most intense, 2θ from 10° to 80°, low angle first)
- 33.09°, intensity 25
- 36.14°, intensity 57
- 42.17°, intensity 31
- 42.67°, intensity 100
- 44.63°, intensity 27
- 46.10°, intensity 39
- 65.01°, intensity 15
- 69.45°, intensity 11
- 69.51°, intensity 19
- 76.74°, intensity 20

Structural model:
Cell lengths 8.617, 8.617, 8.617 Å; angles 33.51, 33.51, 33.51 degrees
Atoms (fractional coordinates):
Y  0.000  0.000  0.000
Y  0.139  0.139  0.139
Y  0.861  0.861  0.861
Ni  0.081  0.582  0.582
Ni  0.333  0.333  0.333
Ni  0.418  0.418  0.919
Ni  0.418  0.919  0.418
Ni  0.500  0.500  0.500
Ni  0.582  0.081  0.582
Ni  0.582  0.582  0.081
Ni  0.667  0.667  0.667
Ni  0.919  0.418  0.418

***

Record 6
The following is a simulated powder X-ray diffraction pattern of GeI2. It was derived from a DFT-relaxed cell (PBE, the Materials Project), using Cu Kα.
Lines closer than 0.1° are merged.

Peak list (10 most intense, 2θ from 10° to 80°, low angle first)
- 10.33°, intensity 42
- 20.74°, intensity 17
- 24.70°, intensity 63
- 32.47°, intensity 100
- 40.30°, intensity 20
- 43.49°, intensity 29
- 49.52°, intensity 11
- 55.31°, intensity 21
- 62.22°, intensity 14
- 72.87°, intensity 19

Structural model:
Cell lengths 4.161, 4.161, 8.564 Å; angles 90.00, 90.00, 120.00 degrees
Atoms (fractional coordinates):
Ge  0.000  0.000  0.000
I  0.333  0.667  0.224
I  0.333  0.667  0.776

***

Record 7
The following is a simulated powder X-ray diffraction pattern of KSn2F5. It was derived from a DFT-relaxed cell (PBE, the Materials Project), using Cu Kα.
Lines closer than 0.1° are merged.

Peak list (10 most intense, 2θ from 10° to 80°, low angle first)
- 10.04°, intensity 40
- 23.04°, intensity 20
- 23.53°, intensity 100
- 27.20°, intensity 28
- 28.84°, intensity 43
- 30.45°, intensity 28
- 33.49°, intensity 31
- 42.57°, intensity 34
- 43.65°, intensity 27
- 47.02°, intensity 15

Structural model:
Cell lengths 4.386, 4.386, 8.815 Å; angles 91.98, 91.98, 75.22 degrees
Atoms (fractional coordinates):
K  0.000  0.000  0.000
Sn  0.354  0.354  0.682
Sn  0.713  0.713  0.387
F  0.006  0.006  0.335
F  0.350  0.855  0.730
F  0.362  0.362  0.916
F  0.658  0.658  0.159
F  0.855  0.350  0.730

***

Record 8
The following is a simulated powder X-ray diffraction pattern of NaEuGeO4. It was derived from a DFT-relaxed cell (PBE, the Materials Project), using Cu Kα.
Lines closer than 0.1° are merged.

Peak list (10 most intense, 2θ from 10° to 80°, low angle first)
- 15.06°, intensity 30
- 18.13°, intensity 25
- 22.54°, intensity 74
- 26.74°, intensity 43
- 28.16°, intensity 25
- 31.25°, intensity 100
- 32.50°, intensity 30
- 33.30°, intensity 37
- 46.02°, intensity 26
- 50.13°, intensity 27

Structural model:
Cell lengths 11.763, 6.669, 5.380 Å; angles 90.00, 90.00, 90.00 degrees
Atoms (fractional coordinates):
Na  0.000  0.000  0.000
Na  0.000  0.500  0.000
Na  0.500  0.000  0.500
Na  0.500  0.500  0.500
Eu  0.222  0.250  0.499
Eu  0.278  0.750  0.999
Eu  0.722  0.250  0.001
Eu  0.778  0.750  0.501
Ge  0.095  0.750  0.442
Ge  0.405  0.250  0.942
Ge  0.595  0.750  0.058
Ge  0.905  0.250  0.558
O  0.045  0.250  0.680
O  0.106  0.750  0.767
O  0.169  0.546  0.291
O  0.169  0.954  0.291
O  0.331  0.046  0.791
O  0.331  0.454  0.791
O  0.394  0.250  0.267
O  0.455  0.750  0.180
O  0.545  0.250  0.820
O  0.606  0.750  0.733
O  0.669  0.546  0.209
O  0.669  0.954  0.209
O  0.831  0.046  0.709
O  0.831  0.454  0.709
O  0.894  0.250  0.233
O  0.955  0.750  0.320